# 1
This entry pairs a crystal structure of PmPuCu2 with its computed X-ray diffraction stick pattern. Radiation: Cu Kα X-rays. Structure: the GGA-PBE geometry in Alexandria.
Kinematic intensities with the Lorentz-polarization factor, no thermal factor.

Peak list (6 most intense, 2θ = 10–90°, by angle)
2θ/deg, intensity
25.26, 26
36.02, 100
51.86, 18
58.53, 12
64.76, 36
87.48, 16

Structural model:
Cell: 7.0523 7.0523 7.0523 Å, 90.00 90.00 90.00°
Positions (direct):
Pm: 0.0000 0.0000 0.0000
Pm: 0.0000 0.5000 0.5000
Pm: 0.5000 0.0000 0.5000
Pm: 0.5000 0.5000 0.0000
Pu: 0.0000 0.0000 0.5000
Pu: 0.0000 0.5000 0.0000
Pu: 0.5000 0.0000 0.0000
Pu: 0.5000 0.5000 0.5000
Cu: 0.2500 0.2500 0.2500
Cu: 0.2500 0.2500 0.7500
Cu: 0.2500 0.7500 0.2500
Cu: 0.2500 0.7500 0.7500
Cu: 0.7500 0.2500 0.2500
Cu: 0.7500 0.2500 0.7500
Cu: 0.7500 0.7500 0.2500
Cu: 0.7500 0.7500 0.7500


# 2
This entry pairs a crystal structure of PmPu2CuS5 with its computed X-ray diffraction stick pattern. Radiation: Cu Kα X-rays. Structure: the GGA-PBE geometry in Alexandria.
Kinematic intensities with the Lorentz-polarization factor, no thermal factor.

Peak list (6 most intense, 2θ = 10–90°, by angle)
2θ/deg, intensity
21.19, 40
23.69, 39
25.15, 83
33.09, 100
36.49, 40
38.77, 49

Structural model:
Cell: 8.6027 8.6027 11.7207 Å, 90.00 90.00 154.12°
Positions (direct):
Pm: 0.1817 0.8183 0.5000
Pm: 0.8183 0.1817 0.0000
Pu: 0.1067 0.8933 0.8199
Pu: 0.1129 0.8871 0.1625
Pu: 0.8871 0.1129 0.6625
Pu: 0.8933 0.1067 0.3199
Cu: 0.4502 0.5498 0.8948
Cu: 0.5498 0.4502 0.3948
S: 0.0127 0.9873 0.4877
S: 0.3032 0.6968 0.1701
S: 0.3205 0.6795 0.8249
S: 0.3481 0.6519 0.4898
S: 0.4939 0.5061 0.2198
S: 0.5061 0.4939 0.7198
S: 0.6519 0.3481 0.9898
S: 0.6795 0.3205 0.3249
S: 0.6968 0.3032 0.6701
S: 0.9873 0.0127 0.9877


# 3
This entry pairs a crystal structure of Pm2PuCuSe5 with its computed X-ray diffraction stick pattern. Radiation: Cu Kα X-rays. Structure: the GGA-PBE geometry in Alexandria.
Kinematic intensities with the Lorentz-polarization factor, no thermal factor.

Peak list (6 most intense, 2θ = 10–90°, by angle)
2θ/deg, intensity
24.26, 21
31.04, 46
31.65, 100
36.68, 73
44.49, 27
55.24, 18

Structural model:
Cell: 9.1294 9.1294 12.0801 Å, 90.00 90.00 154.22°
Positions (direct):
Pm: 0.1079 0.8921 0.5000
Pm: 0.1205 0.8795 0.1236
Pm: 0.8795 0.1205 0.6236
Pm: 0.8921 0.1079 0.0000
Pu: 0.1980 0.8020 0.8247
Pu: 0.8020 0.1980 0.3247
Cu: 0.4361 0.5639 0.2696
Cu: 0.5639 0.4361 0.7696
Se: 0.0444 0.9556 0.8764
Se: 0.2904 0.7096 0.4916
Se: 0.3156 0.6844 0.1586
Se: 0.3613 0.6387 0.8160
Se: 0.4991 0.5009 0.5936
Se: 0.5009 0.4991 0.0936
Se: 0.6387 0.3613 0.3160
Se: 0.6844 0.3156 0.6586
Se: 0.7096 0.2904 0.9916
Se: 0.9556 0.0444 0.3764


# 4
This entry pairs a crystal structure of RbPmCuS2 with its computed X-ray diffraction stick pattern. Radiation: Cu Kα X-rays. Structure: the GGA-PBE geometry in Alexandria.
Kinematic intensities with the Lorentz-polarization factor, no thermal factor.

Peak list (6 most intense, 2θ = 10–90°, by angle)
2θ/deg, intensity
11.60, 100
22.24, 44
23.32, 58
29.34, 54
30.09, 62
33.20, 56

Structural model:
Cell: 7.7584 4.6961 8.1143 Å, 90.00 100.48 90.00°
Positions (direct):
Rb: 0.0000 0.1790 0.2500
Rb: 0.0000 0.8210 0.7500
Pm: 0.5000 0.4920 0.7500
Pm: 0.5000 0.5080 0.2500
Cu: 0.5000 0.0000 0.0000
Cu: 0.5000 0.0000 0.5000
S: 0.2774 0.3054 0.9639
S: 0.2774 0.6946 0.4639
S: 0.7226 0.3054 0.5361
S: 0.7226 0.6946 0.0361


# 5
This entry pairs a crystal structure of RbPmCuTe3 with its computed X-ray diffraction stick pattern. Radiation: Cu Kα X-rays. Structure: the GGA-PBE geometry in Alexandria.
Kinematic intensities with the Lorentz-polarization factor, no thermal factor.

Peak list (6 most intense, 2θ = 10–90°, by angle)
2θ/deg, intensity
25.18, 100
28.10, 80
32.01, 91
32.22, 59
33.85, 83
47.42, 40

Structural model:
Cell: 5.2969 8.8849 9.5447 Å, 100.31 90.02 107.25°
Positions (direct):
Rb: 0.1490 0.2972 0.0458
Rb: 0.8510 0.7028 0.9542
Pm: 0.1435 0.2865 0.5436
Pm: 0.8565 0.7135 0.4564
Cu: 0.4855 0.9703 0.6943
Cu: 0.5145 0.0297 0.3057
Te: 0.0006 0.0006 0.7164
Te: 0.3293 0.6589 0.6673
Te: 0.3589 0.7189 0.2574
Te: 0.6411 0.2811 0.7426
Te: 0.6707 0.3411 0.3327
Te: 0.9994 0.9994 0.2836


# 6
This entry pairs a crystal structure of Pm5CuRh2 with its computed X-ray diffraction stick pattern. Radiation: Cu Kα X-rays. Structure: the GGA-PBE geometry in Alexandria.
Kinematic intensities with the Lorentz-polarization factor, no thermal factor.

Peak list (6 most intense, 2θ = 10–90°, by angle)
2θ/deg, intensity
32.34, 100
35.10, 28
36.10, 51
42.28, 16
52.09, 14
67.40, 18

Structural model:
Cell: 8.7298 8.7298 8.7298 Å, 126.43 126.43 79.18°
Positions (direct):
Pm: 0.0000 0.0000 0.0000
Pm: 0.0251 0.5251 0.8279
Pm: 0.1972 0.0251 0.5000
Pm: 0.3028 0.8028 0.8279
Pm: 0.4749 0.3028 0.5000
Pm: 0.5000 0.5000 0.0000
Pm: 0.5251 0.6972 0.5000
Pm: 0.6972 0.1972 0.1721
Pm: 0.8028 0.9749 0.5000
Pm: 0.9749 0.4749 0.1721
Cu: 0.2500 0.2500 0.0000
Cu: 0.7500 0.7500 0.0000
Rh: 0.1349 0.3651 0.5000
Rh: 0.3651 0.8651 0.2301
Rh: 0.6349 0.1349 0.7699
Rh: 0.8651 0.6349 0.5000


# 7
This entry pairs a crystal structure of Pm3Cu3Rh2 with its computed X-ray diffraction stick pattern. Radiation: Cu Kα X-rays. Structure: the GGA-PBE geometry in Alexandria.
Kinematic intensities with the Lorentz-polarization factor, no thermal factor.

Peak list (6 most intense, 2θ = 10–90°, by angle)
2θ/deg, intensity
32.69, 65
35.66, 60
36.76, 100
39.10, 63
39.90, 56
41.91, 46

Structural model:
Cell: 7.4563 16.1586 5.4244 Å, 90.00 90.00 90.00°
Positions (direct):
Pm: 0.0346 0.1045 0.1186
Pm: 0.0346 0.3955 0.1186
Pm: 0.1696 0.2500 0.6331
Pm: 0.3304 0.7500 0.1331
Pm: 0.4654 0.6045 0.6186
Pm: 0.4654 0.8955 0.6186
Pm: 0.5346 0.1045 0.3814
Pm: 0.5346 0.3955 0.3814
Pm: 0.6696 0.2500 0.8669
Pm: 0.8304 0.7500 0.3669
Pm: 0.9654 0.6045 0.8814
Pm: 0.9654 0.8955 0.8814
Cu: 0.1716 0.0280 0.5904
Cu: 0.1716 0.4720 0.5904
Cu: 0.1781 0.7500 0.6319
Cu: 0.3219 0.2500 0.1319
Cu: 0.3284 0.5280 0.0904
Cu: 0.3284 0.9720 0.0904
Cu: 0.6716 0.0280 0.9096
Cu: 0.6716 0.4720 0.9096
Cu: 0.6781 0.7500 0.8681
Cu: 0.8219 0.2500 0.3681
Cu: 0.8284 0.5280 0.4096
Cu: 0.8284 0.9720 0.4096
Rh: 0.1192 0.6150 0.3651
Rh: 0.1192 0.8850 0.3651
Rh: 0.3808 0.1150 0.8651
Rh: 0.3808 0.3850 0.8651
Rh: 0.6192 0.6150 0.1349
Rh: 0.6192 0.8850 0.1349
Rh: 0.8808 0.1150 0.6349
Rh: 0.8808 0.3850 0.6349


# 8
This entry pairs a crystal structure of Pm12Cu2Rh5 with its computed X-ray diffraction stick pattern. Radiation: Cu Kα X-rays. Structure: the GGA-PBE geometry in Alexandria.
Kinematic intensities with the Lorentz-polarization factor, no thermal factor.

Peak list (6 most intense, 2θ = 10–90°, by angle)
2θ/deg, intensity
26.80, 50
31.94, 63
32.10, 76
33.15, 59
33.49, 100
40.05, 55

Structural model:
Cell: 9.0604 9.0604 9.0081 Å, 103.20 103.20 47.59°
Positions (direct):
Pm: 0.0014 0.0014 0.2814
Pm: 0.0678 0.5852 0.8987
Pm: 0.1031 0.5888 0.4321
Pm: 0.4112 0.8969 0.5679
Pm: 0.4148 0.9322 0.1013
Pm: 0.4823 0.4823 0.1947
Pm: 0.5177 0.5177 0.8053
Pm: 0.5852 0.0678 0.8987
Pm: 0.5888 0.1031 0.4321
Pm: 0.8969 0.4112 0.5679
Pm: 0.9322 0.4148 0.1013
Pm: 0.9986 0.9986 0.7186
Cu: 0.1762 0.8238 0.0000
Cu: 0.8238 0.1762 0.0000
Rh: 0.1784 0.1784 0.8347
Rh: 0.1963 0.1963 0.3563
Rh: 0.5000 0.5000 0.5000
Rh: 0.8037 0.8037 0.6437
Rh: 0.8216 0.8216 0.1653


# 9
This entry pairs a crystal structure of Pm6CuRh5 with its computed X-ray diffraction stick pattern. Radiation: Cu Kα X-rays. Structure: the GGA-PBE geometry in Alexandria.
Kinematic intensities with the Lorentz-polarization factor, no thermal factor.

Peak list (6 most intense, 2θ = 10–90°, by angle)
2θ/deg, intensity
35.91, 100
36.13, 49
51.36, 9
64.41, 18
64.76, 18
64.91, 17

Structural model:
Cell: 4.9690 7.1154 7.8548 Å, 90.00 108.21 90.00°
Positions (direct):
Pm: 0.0000 0.2458 0.0000
Pm: 0.0000 0.7542 0.0000
Pm: 0.3314 0.2489 0.6639
Pm: 0.3314 0.7511 0.6639
Pm: 0.6686 0.2489 0.3361
Pm: 0.6686 0.7511 0.3361
Cu: 0.5000 0.5000 0.0000
Rh: 0.1655 0.5000 0.3287
Rh: 0.1701 0.0000 0.3377
Rh: 0.5000 0.0000 0.0000
Rh: 0.8299 0.0000 0.6623
Rh: 0.8345 0.5000 0.6713


# 10
This entry pairs a crystal structure of Pm8CuRh5 with its computed X-ray diffraction stick pattern. Radiation: Cu Kα X-rays. Structure: the GGA-PBE geometry in Alexandria.
Kinematic intensities with the Lorentz-polarization factor, no thermal factor.

Peak list (6 most intense, 2θ = 10–90°, by angle)
2θ/deg, intensity
28.53, 26
31.94, 100
32.06, 47
38.04, 74
52.70, 31
64.88, 21

Structural model:
Cell: 7.6645 7.6645 7.6645 Å, 109.36 109.36 109.70°
Positions (direct):
Pm: 0.0037 0.8798 0.2482
Pm: 0.1202 0.3683 0.1239
Pm: 0.1232 0.3715 0.6349
Pm: 0.2444 0.9963 0.8761
Pm: 0.5117 0.8768 0.2483
Pm: 0.6285 0.2634 0.7517
Pm: 0.6317 0.7556 0.7518
Pm: 0.7366 0.4883 0.3651
Cu: 0.2500 0.7500 0.5000
Rh: 0.0058 0.6288 0.8826
Rh: 0.3712 0.2538 0.3770
Rh: 0.5000 0.5000 0.0000
Rh: 0.7462 0.1232 0.1174
Rh: 0.8768 0.9942 0.6230


# 11
This entry pairs a crystal structure of Pm3Cu3Rh2 with its computed X-ray diffraction stick pattern. Radiation: Cu Kα X-rays. Structure: the GGA-PBE geometry in Alexandria.
Kinematic intensities with the Lorentz-polarization factor, no thermal factor.

Peak list (6 most intense, 2θ = 10–90°, by angle)
2θ/deg, intensity
32.81, 89
33.93, 100
34.85, 45
37.28, 33
40.95, 65
43.66, 48

Structural model:
Cell: 5.6727 5.6727 15.4451 Å, 90.00 90.00 137.12°
Positions (direct):
Pm: 0.1056 0.8944 0.7500
Pm: 0.3745 0.6255 0.5880
Pm: 0.3745 0.6255 0.9120
Pm: 0.6255 0.3745 0.0880
Pm: 0.6255 0.3745 0.4120
Pm: 0.8944 0.1056 0.2500
Cu: 0.0857 0.9143 0.5517
Cu: 0.0857 0.9143 0.9483
Cu: 0.1750 0.8250 0.2500
Cu: 0.8250 0.1750 0.7500
Cu: 0.9143 0.0857 0.0517
Cu: 0.9143 0.0857 0.4483
Rh: 0.3196 0.6804 0.1191
Rh: 0.3196 0.6804 0.3809
Rh: 0.6804 0.3196 0.6191
Rh: 0.6804 0.3196 0.8809


# 12
This entry pairs a crystal structure of Pm3CuRh with its computed X-ray diffraction stick pattern. Radiation: Cu Kα X-rays. Structure: the GGA-PBE geometry in Alexandria.
Kinematic intensities with the Lorentz-polarization factor, no thermal factor.

Peak list (6 most intense, 2θ = 10–90°, by angle)
2θ/deg, intensity
30.88, 41
31.97, 100
36.10, 65
45.26, 21
49.62, 24
60.00, 30

Structural model:
Cell: 6.7238 4.0067 9.6246 Å, 90.00 90.05 90.00°
Positions (direct):
Pm: 0.2306 0.2500 0.0605
Pm: 0.2306 0.2500 0.4396
Pm: 0.2562 0.7500 0.7501
Pm: 0.7438 0.2500 0.2499
Pm: 0.7694 0.7500 0.5604
Pm: 0.7694 0.7500 0.9395
Cu: 0.4322 0.7500 0.2501
Cu: 0.5678 0.2500 0.7499
Rh: 0.0389 0.7500 0.2499
Rh: 0.9611 0.2500 0.7501